1.
# K2H4OsO6
Computed X-ray diffraction stick pattern, Cu Kα. Input: a structure optimized by DFT (GGA-PBE).

Structural model:
abc: 5.7043 5.7043 5.7043
angles: 111.61 111.61 105.27
Atoms (fractional coordinates):
K 0.2500 0.7500 0.5000
K 0.7500 0.2500 0.5000
H 0.1724 0.1724 0.3449
H 0.1724 0.8276 0.0000
H 0.8276 0.1724 0.0000
H 0.8276 0.8276 0.6551
Os 0.5000 0.5000 0.0000
O 0.2388 0.2388 0.0000
O 0.2796 0.2796 0.5592
O 0.2796 0.7204 0.0000
O 0.7204 0.2796 0.0000
O 0.7204 0.7204 0.4408
O 0.7612 0.7612 0.0000

Principal peaks in the range 2θ from 10° to 90°, most intense first:
2θ 18.86, I = 100; 2θ 32.54, I = 40; 2θ 33.84, I = 38; 2θ 27.83, I = 29; 2θ 39.76, I = 26; 2θ 19.58, I = 24; 2θ 52.29, I = 19; 2θ 53.18, I = 16; 2θ 41.59, I = 15; 2θ 50.78, I = 14; 2θ 68.16, I = 9; 2θ 61.08, I = 9


2.
# K4P4H6O15
Computed X-ray diffraction stick pattern, Cu Kα. Input: a structure optimized by DFT (GGA-PBE).

Structural model:
abc: 9.7656 9.7656 14.4070
angles: 118.56 118.56 42.13
Atoms (fractional coordinates):
K 0.1849 0.3636 0.6261
K 0.2052 0.7638 0.6038
K 0.2362 0.7948 0.8962
K 0.3636 0.1849 0.1261
K 0.6364 0.8151 0.8739
K 0.7638 0.2052 0.1038
K 0.7948 0.2362 0.3962
K 0.8151 0.6364 0.3739
P 0.0499 0.2351 0.7862
P 0.2351 0.0499 0.2862
P 0.2811 0.3831 0.9077
P 0.3831 0.2811 0.4077
P 0.6169 0.7189 0.5923
P 0.7189 0.6169 0.0923
P 0.7649 0.9501 0.7138
P 0.9501 0.7649 0.2138
H 0.0982 0.6131 0.0358
H 0.2056 0.6075 0.3484
H 0.3641 0.5375 0.2132
H 0.3869 0.9018 0.4642
H 0.3925 0.7944 0.1516
H 0.4625 0.6359 0.2868
H 0.5375 0.3641 0.7132
H 0.6075 0.2056 0.8484
H 0.6131 0.0982 0.5358
H 0.6359 0.4625 0.7868
H 0.7944 0.3925 0.6516
H 0.9018 0.3869 0.9642
O 0.0144 0.2170 0.3014
O 0.0709 0.7583 0.3368
O 0.1006 0.6105 0.9637
O 0.1073 0.6030 0.1407
O 0.1551 0.3197 0.7982
O 0.2170 0.0144 0.8014
O 0.2276 0.4252 0.4785
O 0.2417 0.9291 0.1632
O 0.3197 0.1551 0.2982
O 0.3799 0.4000 0.8630
O 0.3895 0.8994 0.5363
O 0.3970 0.8927 0.3593
O 0.4000 0.3799 0.3630
O 0.4252 0.2276 0.9785
O 0.5005 0.4995 0.2500
O 0.4995 0.5005 0.7500
O 0.5748 0.7724 0.0215
O 0.6000 0.6201 0.6370
O 0.6030 0.1073 0.6407
O 0.6105 0.1006 0.4637
O 0.6201 0.6000 0.1370
O 0.6803 0.8449 0.7018
O 0.7583 0.0709 0.8368
O 0.7724 0.5748 0.5215
O 0.7830 0.9856 0.1986
O 0.8449 0.6803 0.2018
O 0.8927 0.3970 0.8593
O 0.8994 0.3895 0.0363
O 0.9291 0.2417 0.6632
O 0.9856 0.7830 0.6986

Principal peaks in the range 2θ from 10° to 90°, most intense first:
2θ 30.29, I = 100; 2θ 28.56, I = 81; 2θ 17.72, I = 71; 2θ 26.00, I = 70; 2θ 27.90, I = 69; 2θ 11.31, I = 47; 2θ 27.57, I = 46; 2θ 26.40, I = 43; 2θ 27.26, I = 28; 2θ 23.07, I = 27; 2θ 24.95, I = 27; 2θ 35.89, I = 26


3.
# KP2H4O8
Computed X-ray diffraction stick pattern, Cu Kα. Input: a structure optimized by DFT (GGA-PBE).

Structural model:
abc: 7.8956 10.9386 9.8007
angles: 90.00 112.00 90.00
Atoms (fractional coordinates):
K 0.2051 0.1163 0.1433
K 0.2051 0.3837 0.6433
K 0.7949 0.6163 0.3567
K 0.7949 0.8837 0.8567
P 0.1157 0.0698 0.7346
P 0.1157 0.4302 0.2346
P 0.3694 0.7280 0.7190
P 0.3694 0.7720 0.2190
P 0.6306 0.2280 0.7810
P 0.6306 0.2720 0.2810
P 0.8843 0.5698 0.7654
P 0.8843 0.9302 0.2654
H 0.0663 0.7188 0.6571
H 0.0663 0.7812 0.1571
H 0.2949 0.5788 0.3696
H 0.2949 0.9212 0.8696
H 0.4251 0.0800 0.7020
H 0.4251 0.4200 0.2020
H 0.4582 0.7394 0.0327
H 0.4582 0.7606 0.5327
H 0.5418 0.2394 0.4673
H 0.5418 0.2606 0.9673
H 0.5749 0.5800 0.7980
H 0.5749 0.9200 0.2980
H 0.7051 0.0788 0.1304
H 0.7051 0.4212 0.6304
H 0.9337 0.2188 0.8429
H 0.9337 0.2812 0.3429
O 0.0751 0.1965 0.7844
O 0.0751 0.3035 0.2844
O 0.0758 0.5116 0.8386
O 0.0758 0.9884 0.3386
O 0.1647 0.7254 0.6106
O 0.1647 0.7746 0.1106
O 0.2266 0.0780 0.6375
O 0.2266 0.4220 0.1376
O 0.2273 0.5034 0.3828
O 0.2273 0.9966 0.8828
O 0.4056 0.7022 0.3609
O 0.4056 0.7978 0.8609
O 0.4319 0.5909 0.7458
O 0.4319 0.9091 0.2458
O 0.4805 0.7075 0.1348
O 0.4805 0.7925 0.6348
O 0.5195 0.2075 0.3652
O 0.5195 0.2925 0.8652
O 0.5681 0.0909 0.7542
O 0.5681 0.4091 0.2542
O 0.5944 0.2022 0.1391
O 0.5944 0.2978 0.6391
O 0.7727 0.0034 0.1172
O 0.7727 0.4966 0.6172
O 0.7734 0.5780 0.8624
O 0.7734 0.9220 0.3624
O 0.8353 0.2254 0.8894
O 0.8353 0.2746 0.3894
O 0.9242 0.0116 0.6614
O 0.9242 0.4884 0.1614
O 0.9249 0.6965 0.7156
O 0.9249 0.8035 0.2156

Principal peaks in the range 2θ from 10° to 90°, most intense first:
2θ 19.54, I = 100; 2θ 27.33, I = 59; 2θ 25.66, I = 53; 2θ 20.27, I = 42; 2θ 31.46, I = 37; 2θ 37.79, I = 33; 2θ 31.56, I = 30; 2θ 23.97, I = 22; 2θ 24.87, I = 19; 2θ 33.83, I = 18; 2θ 18.94, I = 15; 2θ 18.73, I = 15


4.
# KPH4O4
Computed X-ray diffraction stick pattern, Cu Kα. Input: a structure optimized by DFT (GGA-PBE).

Structural model:
abc: 7.8804 7.8804 7.8804
angles: 101.38 101.38 127.25
Atoms (fractional coordinates):
K 0.0000 0.0000 0.0000
K 0.7500 0.2500 0.5000
P 0.2500 0.7500 0.5000
P 0.5000 0.5000 0.0000
H 0.2088 0.0155 0.4870
H 0.2215 0.2345 0.6934
H 0.2782 0.7912 0.8066
H 0.4718 0.7785 0.0130
H 0.5285 0.7218 0.5130
H 0.5412 0.5282 0.3066
H 0.7655 0.4588 0.9870
H 0.9845 0.4715 0.1934
O 0.0723 0.4610 0.2918
O 0.1693 0.7806 0.7083
O 0.2110 0.3223 0.7917
O 0.2194 0.9277 0.3887
O 0.5306 0.4193 0.2083
O 0.5390 0.8307 0.6113
O 0.5807 0.7890 0.1113
O 0.6777 0.4694 0.8887

Principal peaks in the range 2θ from 10° to 90°, most intense first:
2θ 17.77, I = 100; 2θ 28.46, I = 46; 2θ 38.39, I = 41; 2θ 34.84, I = 16; 2θ 29.72, I = 15; 2θ 25.23, I = 14; 2θ 53.63, I = 13; 2θ 31.20, I = 12; 2θ 46.50, I = 10; 2θ 60.16, I = 9; 2θ 72.13, I = 9; 2θ 68.06, I = 9


5.
# K2PH4O7
Computed X-ray diffraction stick pattern, Cu Kα. Input: a structure optimized by DFT (GGA-PBE).

Structural model:
abc: 6.1437 6.6499 17.4637
angles: 90.00 101.28 90.00
Atoms (fractional coordinates):
K 0.0845 0.0365 0.3104
K 0.0845 0.4635 0.8104
K 0.3273 0.6975 0.5360
K 0.3273 0.8025 0.0360
K 0.6727 0.1975 0.9640
K 0.6727 0.3025 0.4640
K 0.9155 0.5365 0.1896
K 0.9155 0.9635 0.6896
P 0.4059 0.2083 0.6544
P 0.4059 0.2917 0.1544
P 0.5941 0.7083 0.8456
P 0.5941 0.7917 0.3456
H 0.0463 0.0893 0.1242
H 0.0463 0.4107 0.6242
H 0.1723 0.1353 0.5121
H 0.1723 0.3647 0.0121
H 0.2702 0.5311 0.3439
H 0.2702 0.9689 0.8439
H 0.4180 0.5934 0.2174
H 0.4180 0.9066 0.7174
H 0.5820 0.0934 0.2826
H 0.5820 0.4066 0.7826
H 0.7298 0.0311 0.1561
H 0.7298 0.4689 0.6561
H 0.8277 0.6353 0.9879
H 0.8277 0.8647 0.4879
H 0.9537 0.5893 0.3758
H 0.9537 0.9107 0.8758
O 0.0592 0.0544 0.4733
O 0.0592 0.4456 0.9733
O 0.0589 0.5015 0.4151
O 0.0589 0.9985 0.9151
O 0.1984 0.0900 0.8650
O 0.1984 0.4100 0.3650
O 0.2016 0.2209 0.1855
O 0.2016 0.2791 0.6855
O 0.3770 0.7009 0.2969
O 0.3770 0.7991 0.7969
O 0.3851 0.2458 0.5664
O 0.3851 0.2542 0.0664
O 0.4256 0.5350 0.1637
O 0.4256 0.9650 0.6637
O 0.5744 0.0350 0.3363
O 0.5744 0.4650 0.8363
O 0.6149 0.7458 0.9336
O 0.6149 0.7542 0.4336
O 0.6230 0.2009 0.2031
O 0.6230 0.2991 0.7031
O 0.7984 0.7209 0.3145
O 0.7984 0.7791 0.8145
O 0.8016 0.5900 0.6350
O 0.8016 0.9100 0.1350
O 0.9411 0.0015 0.0849
O 0.9411 0.4985 0.5849
O 0.9408 0.5544 0.0267
O 0.9408 0.9456 0.5267

Principal peaks in the range 2θ from 10° to 90°, most intense first:
2θ 30.71, I = 100; 2θ 23.77, I = 69; 2θ 26.68, I = 61; 2θ 29.44, I = 58; 2θ 33.42, I = 56; 2θ 24.73, I = 43; 2θ 29.33, I = 42; 2θ 42.14, I = 40; 2θ 35.26, I = 39; 2θ 34.00, I = 34; 2θ 16.88, I = 29; 2θ 20.50, I = 27